# 1
Diffraction record for Cr4Si2Br2O7. The X-ray powder pattern is theoretical, not measured: it uses a structure optimized by DFT (GGA+U) and λ = 1.5418 Å (Cu Kα).

Peak list (10 most intense, 15° ≤ 2θ ≤ 90°, in order of rising 2θ)
2θ/deg	d/Å	Rel. int.
27.2	3.273	42
28.1	3.176	40
28.5	3.131	66
29.5	3.023	28
31.4	2.853	25
31.6	2.828	25
32.0	2.799	52
32.1	2.789	100
32.4	2.760	28
42.3	2.136	36

```
data_Cr4Si2Br2O7
_chemical_formula_sum 'Cr16 Si8 Br8 O28'
_space_group_name_H-M_alt 'P 1 c 1'
_space_group_IT_number 7
_cell_length_a 6.5509
_cell_length_b 13.0707
_cell_length_c 10.7089
_cell_angle_alpha 90.00
_cell_angle_beta 91.60
_cell_angle_gamma 90.00
loop_
_space_group_symop_operation_xyz
'x,y,z'
'x,-y,z+1/2'
loop_
_atom_site_label
_atom_site_type_symbol
_atom_site_fract_x
_atom_site_fract_y
_atom_site_fract_z
Cr1 Cr 0.0000 0.0367 0.5000
Cr2 Cr 0.0047 0.2772 0.9921
Cr3 Cr 0.3392 0.1127 0.8183
Cr4 Cr 0.3727 0.3616 0.7938
Cr5 Cr 0.3747 0.1285 0.3112
Cr6 Cr 0.3994 0.3721 0.2962
Cr7 Cr 0.7320 0.2322 0.4932
Cr8 Cr 0.7400 0.4555 0.0935
Si1 Si 0.2424 0.2610 0.5575
Si2 Si 0.2491 0.4950 0.0375
Si3 Si 0.5059 0.0013 0.0557
Si4 Si 0.5078 0.2391 0.0481
Br1 Br 0.7615 0.3685 0.7049
Br2 Br 0.8280 0.3870 0.3574
Br3 Br 0.9274 0.1216 0.8419
Br4 Br 0.9857 0.1220 0.1883
O1 O 0.0372 0.1959 0.5218
O2 O 0.0431 0.4269 0.0543
O3 O 0.2072 0.3849 0.5833
O4 O 0.3107 0.0216 0.4527
O5 O 0.3146 0.2634 0.9464
O6 O 0.3323 0.4952 0.8940
O7 O 0.3505 0.2266 0.6908
O8 O 0.4099 0.2528 0.4425
O9 O 0.4317 0.4552 0.1348
O10 O 0.4364 0.9999 0.2004
O11 O 0.4389 0.2437 0.1924
O12 O 0.5622 0.1192 0.0145
O13 O 0.6946 0.0747 0.5216
O14 O 0.7031 0.3111 0.0181
```

=====

# 2
Diffraction record for Cs2MgMnV2Br2O6. The X-ray powder pattern is theoretical, not measured: it uses a structure optimized by DFT (GGA+U) and λ = 1.5418 Å (Cu Kα).

Peak list (10 most intense, 15° ≤ 2θ ≤ 90°, in order of rising 2θ)
2θ/deg	d/Å	Rel. int.
21.9	4.062	14
25.8	3.453	100
28.9	3.090	30
30.3	2.951	27
32.0	2.799	33
32.3	2.769	22
43.6	2.075	26
44.6	2.031	20
49.0	1.858	13
53.4	1.717	13

```
data_Cs2MgMnV2Br2O6
_chemical_formula_sum 'Cs4 Mg2 Mn2 V4 Br4 O12'
_space_group_name_H-M_alt 'C m m 2'
_space_group_IT_number 35
_cell_length_a 5.5979
_cell_length_b 18.5426
_cell_length_c 6.2267
_cell_angle_alpha 90.00
_cell_angle_beta 90.00
_cell_angle_gamma 90.00
loop_
_space_group_symop_operation_xyz
'x,y,z'
'-x,-y,z'
'-x,y,z'
'x,-y,z'
'x+1/2,y+1/2,z'
'-x+1/2,-y+1/2,z'
'-x+1/2,y+1/2,z'
'x+1/2,-y+1/2,z'
loop_
_atom_site_label
_atom_site_type_symbol
_atom_site_fract_x
_atom_site_fract_y
_atom_site_fract_z
Cs1 Cs 0.0000 0.1702 0.0000
Mg1 Mg 0.0000 0.0000 0.2719
Mn1 Mn 0.0000 0.5000 0.7065
V1 V 0.0000 0.3076 0.5318
Br1 Br 0.0000 0.0000 0.6897
Br2 Br 0.0000 0.5000 0.1706
O1 O 0.0000 0.3112 0.2619
O2 O 0.0000 0.3925 0.6667
O3 O 0.2500 0.2500 0.6252
```

=====

# 3
Diffraction record for Cs2MgMnV2Br2O6. The X-ray powder pattern is theoretical, not measured: it uses a structure optimized by DFT (GGA+U) and λ = 1.5418 Å (Cu Kα).

Peak list (10 most intense, 15° ≤ 2θ ≤ 90°, in order of rising 2θ)
2θ/deg	d/Å	Rel. int.
21.6	4.108	29
24.7	3.607	35
25.0	3.562	31
25.8	3.453	58
26.0	3.423	55
29.4	3.039	100
30.4	2.938	67
32.8	2.731	22
33.1	2.706	19
42.8	2.112	31

```
data_Cs2MgMnV2Br2O6
_chemical_formula_sum 'Cs4 Mg2 Mn2 V4 Br4 O12'
_space_group_name_H-M_alt 'C 1 m 1'
_space_group_IT_number 8
_cell_length_a 17.7584
_cell_length_b 5.8759
_cell_length_c 6.0761
_cell_angle_alpha 90.00
_cell_angle_beta 90.76
_cell_angle_gamma 90.00
loop_
_space_group_symop_operation_xyz
'x,y,z'
'x,-y,z'
'x+1/2,y+1/2,z'
'x+1/2,-y+1/2,z'
loop_
_atom_site_label
_atom_site_type_symbol
_atom_site_fract_x
_atom_site_fract_y
_atom_site_fract_z
Cs1 Cs 0.0000 0.0000 0.0000
Cs2 Cs 0.2417 0.0000 0.9727
Mg1 Mg 0.4298 0.0000 0.8176
Mn1 Mn 0.1296 0.5000 0.5057
V1 V 0.3324 0.5000 0.4918
V2 V 0.4292 0.0000 0.4117
Br1 Br 0.1158 0.5000 0.0575
Br2 Br 0.1207 0.0000 0.4959
O1 O 0.0154 0.5000 0.5685
O2 O 0.2383 0.5000 0.5879
O3 O 0.3510 0.5000 0.2187
O4 O 0.3845 0.2259 0.6002
O5 O 0.4148 0.0000 0.1236
```

=====

# 4
Diffraction record for Cs3Mo2BrO7. The X-ray powder pattern is theoretical, not measured: it uses a structure optimized by DFT (GGA+U) and λ = 1.5418 Å (Cu Kα).

Peak list (10 most intense, 15° ≤ 2θ ≤ 90°, in order of rising 2θ)
2θ/deg	d/Å	Rel. int.
22.0	4.034	27
26.1	3.414	64
26.8	3.328	100
30.6	2.921	11
34.9	2.567	19
37.8	2.383	16
46.9	1.938	20
47.3	1.922	20
55.2	1.664	17
61.4	1.510	17

```
data_Cs3Mo2BrO7
_chemical_formula_sum 'Cs6 Mo4 Br2 O14'
_space_group_name_H-M_alt 'P 63/m m c'
_space_group_IT_number 194
_space_group_name_Hall '-P 6c 2c'
_cell_length_a 6.6564
_cell_length_b 6.6564
_cell_length_c 16.9447
_cell_angle_alpha 90.00
_cell_angle_beta 90.00
_cell_angle_gamma 120.00
loop_
_atom_site_label
_atom_site_type_symbol
_atom_site_fract_x
_atom_site_fract_y
_atom_site_fract_z
Cs1 Cs 0.3333 0.6667 0.0456
Cs2 Cs 0.3333 0.6667 0.7500
Mo1 Mo 0.0000 0.0000 0.1368
Br1 Br 0.3333 0.6667 0.2500
O1 O 0.0000 0.0000 0.2500
O2 O 0.1452 0.2904 0.6003
```

=====

# 5
Diffraction record for Cs2VBr5O4. The X-ray powder pattern is theoretical, not measured: it uses a structure optimized by DFT (GGA+U) and λ = 1.5418 Å (Cu Kα).

Peak list (10 most intense, 15° ≤ 2θ ≤ 90°, in order of rising 2θ)
2θ/deg	d/Å	Rel. int.
19.4	4.578	48
21.5	4.129	58
24.6	3.618	35
26.2	3.399	34
27.9	3.194	71
29.6	3.016	61
29.9	2.987	100
30.2	2.956	70
33.5	2.674	54
44.2	2.050	27

```
data_Cs2VBr5O4
_chemical_formula_sum 'Cs4 V2 Br10 O8'
_space_group_name_H-M_alt 'C 1 2/m 1'
_space_group_IT_number 12
_cell_length_a 18.4395
_cell_length_b 5.9123
_cell_length_c 7.2447
_cell_angle_alpha 90.00
_cell_angle_beta 110.22
_cell_angle_gamma 90.00
loop_
_space_group_symop_operation_xyz
'x,y,z'
'-x,-y,-z'
'-x,y,-z'
'x,-y,z'
'x+1/2,y+1/2,z'
'-x+1/2,-y+1/2,-z'
'-x+1/2,y+1/2,-z'
'x+1/2,-y+1/2,z'
loop_
_atom_site_label
_atom_site_type_symbol
_atom_site_fract_x
_atom_site_fract_y
_atom_site_fract_z
Cs1 Cs 0.2034 0.0000 0.2311
V1 V 0.0000 0.5000 0.5000
Br1 Br 0.0000 0.0000 0.0000
Br2 Br 0.1051 0.5000 0.3374
Br3 Br 0.1701 0.0000 0.7079
O1 O 0.0490 0.2826 0.6806
```

=====

# 6
Diffraction record for DyWBrO4. The X-ray powder pattern is theoretical, not measured: it uses a structure optimized by DFT (GGA+U) and λ = 1.5418 Å (Cu Kα).

Peak list (10 most intense, 15° ≤ 2θ ≤ 90°, in order of rising 2θ)
2θ/deg	d/Å	Rel. int.
24.4	3.644	100
25.6	3.485	51
27.1	3.288	30
27.8	3.210	20
29.5	3.026	23
30.8	2.905	25
32.8	2.728	25
35.2	2.549	17
36.1	2.491	26
50.0	1.823	24

```
data_DyWBrO4
_chemical_formula_sum 'Dy4 W4 Br4 O16'
_space_group_name_H-M_alt 'P -1'
_space_group_IT_number 2
_cell_length_a 6.9941
_cell_length_b 7.3213
_cell_length_c 11.0839
_cell_angle_alpha 104.39
_cell_angle_beta 107.88
_cell_angle_gamma 93.82
loop_
_space_group_symop_operation_xyz
'x,y,z'
'-x,-y,-z'
loop_
_atom_site_label
_atom_site_type_symbol
_atom_site_fract_x
_atom_site_fract_y
_atom_site_fract_z
Dy1 Dy 0.1169 0.3426 0.2322
Dy2 Dy 0.1556 0.1156 0.7308
W1 W 0.2292 0.8136 0.1328
W2 W 0.2686 0.5905 0.6268
Br1 Br 0.2372 0.9994 0.4811
Br2 Br 0.3082 0.2813 0.0188
O1 O 0.1017 0.0169 0.1831
O2 O 0.1303 0.6396 0.2000
O3 O 0.1555 0.7919 0.7031
O4 O 0.1593 0.7300 0.9558
O5 O 0.1647 0.5013 0.4476
O6 O 0.2189 0.4064 0.7003
O7 O 0.4607 0.3500 0.3294
O8 O 0.4980 0.1247 0.7939
```